(1)
Theoretical X-ray diffraction stick pattern
Compound: GaGeAsSe
Radiation: CuKα
Structure: a crystal structure in Alexandria, relaxed with GGA-PBE

Principal peaks in the range 5 to 70 degrees two-theta, in order of rising 2θ:
2θ 10.29, I = 27, (0 0 1); 2θ 20.66, I = 44, (0 0 2); 2θ 28.84, I = 100, (1 1 1); 2θ 41.64, I = 55, (1 1 3); 2θ 47.46, I = 40, (3 1 0); 2θ 50.60, I = 32, (2 0 4); 2θ 52.28, I = 21, (3 1 2); 2θ 56.49, I = 15, (4 0 1)

```
data_GaGeAsSe
_cell_length_a 6.636
_cell_length_b 3.832
_cell_length_c 8.597
_cell_angle_alpha 90.00
_cell_angle_beta 90.06
_cell_angle_gamma 90.00
_symmetry_space_group_name_H-M 'C 1 m 1'
_symmetry_Int_Tables_number 8
_symmetry_space_group_name_Hall 'C -2y'
loop_
_atom_site_label
_atom_site_type_symbol
_atom_site_fract_x
_atom_site_fract_y
_atom_site_fract_z
_atom_site_occupancy
Ga1 Ga 0.000 0.000 0.000 1
Ge1 Ge 0.000 0.000 0.286 1
As1 As 0.167 0.500 0.419 1
Se1 Se 0.333 0.000 0.866 1
```

(2)
Theoretical X-ray diffraction stick pattern
Compound: B5C3
Radiation: CuKα
Structure: a crystal structure in Alexandria, relaxed with GGA-PBE

Principal peaks in the range 5 to 70 degrees two-theta, in order of rising 2θ:
2θ 9.11, I = 100, (0 0 3); 2θ 18.27, I = 8, (0 0 6); 2θ 27.56, I = 20, (0 0 9); 2θ 37.04, I = 17, (0 0 12); 2θ 40.30, I = 70, (1 0 4); 2θ 44.24, I = 8, (1 0 7); 2θ 64.76, I = 8, (1 0 16); 2θ 69.20, I = 21, (1 1 0)

```
data_B5C3
_cell_length_a 2.7153
_cell_length_b 2.7153
_cell_length_c 29.1283
_cell_angle_alpha 90.00
_cell_angle_beta 90.00
_cell_angle_gamma 120.00
_symmetry_space_group_name_H-M 'R 3 m'
_symmetry_Int_Tables_number 160
_symmetry_space_group_name_Hall 'R 3 -2"'
loop_
_atom_site_label
_atom_site_type_symbol
_atom_site_fract_x
_atom_site_fract_y
_atom_site_fract_z
_atom_site_occupancy
B1 B 0.0000 0.0000 0.0000 1
B2 B 0.0000 0.0000 0.0601 1
B3 B 0.0000 0.0000 0.5718 1
B4 B 0.0000 0.0000 0.7447 1
B5 B 0.0000 0.0000 0.8430 1
C1 C 0.0000 0.0000 0.2623 1
C2 C 0.0000 0.0000 0.3110 1
C3 C 0.0000 0.0000 0.5150 1
```

(3)
Theoretical X-ray diffraction stick pattern
Compound: YZnAsS
Radiation: CuKα
Structure: a crystal structure in Alexandria, relaxed with GGA-PBE

Principal peaks in the range 5 to 70 degrees two-theta, in order of rising 2θ:
2θ 7.91, I = 27, (0 0 3); 2θ 26.19, I = 95, (1 0 4); 2θ 32.02, I = 22, (0 0 12); 2θ 36.04, I = 97, (1 0 10); 2θ 42.03, I = 100, (1 1 0); 2θ 44.99, I = 26, (0 1 14); 2θ 53.80, I = 30, (1 1 12); 2θ 56.54, I = 25, (0 2 10)

```
data_YZnAsS
_cell_length_a 4.2991
_cell_length_b 4.2991
_cell_length_c 33.5448
_cell_angle_alpha 90.00
_cell_angle_beta 90.00
_cell_angle_gamma 120.00
_symmetry_space_group_name_H-M 'R -3 m'
_symmetry_Int_Tables_number 166
_symmetry_space_group_name_Hall '-R 3 2"'
loop_
_atom_site_label
_atom_site_type_symbol
_atom_site_fract_x
_atom_site_fract_y
_atom_site_fract_z
_atom_site_occupancy
Y1 Y 0.0000 0.0000 0.1089 1
Zn1 Zn 0.0000 0.0000 0.3058 1
As1 As 0.0000 0.0000 0.3834 1
S1 S 0.0000 0.0000 0.1972 1
```

(4)
Theoretical X-ray diffraction stick pattern
Compound: TeI4
Radiation: CuKα
Structure: a crystal structure in Alexandria, relaxed with GGA-PBE

Principal peaks in the range 5 to 70 degrees two-theta, in order of rising 2θ:
2θ 12.68, I = 26, (1 1 0); 2θ 15.47, I = 17, (2 0 2); 2θ 25.99, I = 23, (0 1 4); 2θ 26.46, I = 100, (4 1 2); 2θ 33.12, I = 19, (0 2 4); 2θ 33.50, I = 22, (4 2 2); 2θ 41.04, I = 26, (4 0 6); 2θ 42.00, I = 16, (8 0 0)

```
data_TeI4
_cell_length_a 17.210
_cell_length_b 7.635
_cell_length_c 15.350
_cell_angle_alpha 90.00
_cell_angle_beta 90.00
_cell_angle_gamma 90.00
_symmetry_space_group_name_H-M 'P m n 21'
_symmetry_Int_Tables_number 31
_symmetry_space_group_name_Hall 'P 2ac -2'
loop_
_atom_site_label
_atom_site_type_symbol
_atom_site_fract_x
_atom_site_fract_y
_atom_site_fract_z
_atom_site_occupancy
Te1 Te 0.000 0.135 0.000 1
Te2 Te 0.000 0.239 0.479 1
Te3 Te 0.141 0.199 0.741 1
I1 I 0.000 0.416 0.847 1
I2 I 0.000 0.535 0.370 1
I3 I 0.000 0.845 0.113 1
I4 I 0.000 0.984 0.650 1
I5 I 0.119 0.329 0.090 1
I6 I 0.120 0.055 0.398 1
I7 I 0.127 0.940 0.891 1
I8 I 0.131 0.450 0.596 1
I9 I 0.245 0.598 0.324 1
I10 I 0.248 0.970 0.662 1
```

(5)
Theoretical X-ray diffraction stick pattern
Compound: LiCaZn2Ag5
Radiation: CuKα
Structure: a crystal structure in Alexandria, relaxed with GGA-PBE

Principal peaks in the range 5 to 70 degrees two-theta, in order of rising 2θ:
2θ 18.40, I = 33, (1 0 0); 2θ 22.45, I = 27, (0 0 2); 2θ 34.71, I = 100, (1 1 2); 2θ 37.30, I = 74, (2 0 0); 2θ 43.34, I = 23, (1 1 3); 2θ 43.97, I = 18, (2 0 2); 2θ 53.77, I = 24, (2 2 0); 2θ 65.60, I = 29, (3 1 2)

```
data_LiCaZn2Ag5
_cell_length_a 4.822
_cell_length_b 4.822
_cell_length_c 7.922
_cell_angle_alpha 90.00
_cell_angle_beta 90.00
_cell_angle_gamma 90.00
_symmetry_space_group_name_H-M 'P 4/m m m'
_symmetry_Int_Tables_number 123
_symmetry_space_group_name_Hall '-P 4 2'
loop_
_atom_site_label
_atom_site_type_symbol
_atom_site_fract_x
_atom_site_fract_y
_atom_site_fract_z
_atom_site_occupancy
Li1 Li 0.000 0.000 0.000 1
Ca1 Ca 0.000 0.000 0.500 1
Zn1 Zn 0.500 0.500 0.151 1
Ag1 Ag 0.000 0.500 0.260 1
Ag2 Ag 0.500 0.500 0.500 1
```

(6)
Theoretical X-ray diffraction stick pattern
Compound: Mg16BeAl12
Radiation: CuKα
Structure: a crystal structure in Alexandria, relaxed with GGA-PBE

Principal peaks in the range 5 to 70 degrees two-theta, in order of rising 2θ:
2θ 34.32, I = 16, (0 4 2); 2θ 36.27, I = 70, (4 0 -1); 2θ 36.42, I = 53, (0 0 3); 2θ 36.55, I = 100, (1 5 -2); 2θ 36.72, I = 40, (4 0 -3); 2θ 40.11, I = 22, (3 1 1); 2θ 40.45, I = 30, (3 5 -1); 2θ 40.81, I = 20, (2 0 -4)

```
data_Mg16BeAl12
_cell_length_a 10.446
_cell_length_b 14.779
_cell_length_c 8.975
_cell_angle_alpha 90.00
_cell_angle_beta 124.51
_cell_angle_gamma 90.00
_symmetry_space_group_name_H-M 'C 1 m 1'
_symmetry_Int_Tables_number 8
_symmetry_space_group_name_Hall 'C -2y'
loop_
_atom_site_label
_atom_site_type_symbol
_atom_site_fract_x
_atom_site_fract_y
_atom_site_fract_z
_atom_site_occupancy
Mg1 Mg 0.000 0.000 0.000 1
Mg2 Mg 0.009 0.000 0.356 1
Mg3 Mg 0.018 0.308 0.661 1
Mg4 Mg 0.047 0.368 0.361 1
Mg5 Mg 0.205 0.202 0.031 1
Mg6 Mg 0.316 0.000 0.060 1
Mg7 Mg 0.330 0.327 0.355 1
Mg8 Mg 0.347 0.340 0.753 1
Mg9 Mg 0.385 0.000 0.688 1
Mg10 Mg 0.449 0.154 0.951 1
Be1 Be 0.185 0.500 0.711 1
Al1 Al 0.096 0.093 0.714 1
Al2 Al 0.145 0.500 0.179 1
Al3 Al 0.184 0.186 0.531 1
Al4 Al 0.231 0.409 0.980 1
Al5 Al 0.269 0.091 0.337 1
Al6 Al 0.319 0.500 0.549 1
Al7 Al 0.498 0.313 0.163 1
```